(1)
Theoretical XRD peak list
Compound: Li2Ti3O6
Radiation: λ = 1.5418 Å (Cu Kα)
Structure: a structure optimized by DFT (PBE)
Neutral-atom scattering factors, no anomalous dispersion.

Top 10 peaks for 15 to 90 degrees two-theta, by angle:
two_theta	I_rel
17.79	100
35.55	11
35.66	22
42.78	48
42.97	24
46.94	6
55.95	9
60.93	7
61.67	13
62.83	13

abc: 5.1032 5.1032 5.2532
angles: 99.10 99.10 119.59
Atoms (fractional coordinates):
Li: 0.1683 0.8317 0.0000
Li: 0.8317 0.1683 0.0000
Ti: 0.0000 0.0000 0.5000
Ti: 0.3411 0.6589 0.5000
Ti: 0.6589 0.3411 0.5000
O: 0.0646 0.4054 0.7185
O: 0.2442 0.2442 0.2708
O: 0.4054 0.0646 0.7185
O: 0.5946 0.9354 0.2815
O: 0.7558 0.7558 0.7292
O: 0.9354 0.5946 0.2815

(2)
Theoretical XRD peak list
Compound: Li7Ti16O32
Radiation: λ = 1.5418 Å (Cu Kα)
Structure: a structure optimized by DFT (PBE)
Neutral-atom scattering factors, no anomalous dispersion.

Top 10 peaks for 15 to 90 degrees two-theta, by angle:
two_theta	I_rel
18.15	100
35.17	43
42.74	59
46.79	8
56.50	20
62.03	34
65.22	13
78.26	9
81.16	7
88.80	7

abc: 10.3634 10.3634 10.3634
angles: 131.79 131.79 70.56
Atoms (fractional coordinates):
Li: 0.0000 0.0000 0.0000
Li: 0.1274 0.6243 0.0000
Li: 0.2500 0.7500 0.5000
Li: 0.3757 0.3757 0.5031
Li: 0.6243 0.1274 0.0000
Li: 0.7500 0.2500 0.5000
Li: 0.8726 0.8726 0.4969
Ti: 0.0624 0.3114 0.0000
Ti: 0.0656 0.3137 0.5037
Ti: 0.1881 0.1881 0.7499
Ti: 0.1900 0.6863 0.7518
Ti: 0.3114 0.0624 0.0000
Ti: 0.3137 0.0656 0.5037
Ti: 0.4383 0.4383 0.2501
Ti: 0.4382 0.9344 0.2482
Ti: 0.5618 0.8100 0.4963
Ti: 0.5617 0.8119 0.0000
Ti: 0.6863 0.1900 0.7518
Ti: 0.6886 0.6886 0.7509
Ti: 0.8100 0.5618 0.4963
Ti: 0.8119 0.5617 0.0000
Ti: 0.9344 0.4382 0.2482
Ti: 0.9376 0.9376 0.2491
O: 0.0446 0.5434 0.2248
O: 0.0555 0.5558 0.7239
O: 0.0687 0.0687 0.2746
O: 0.0811 0.0811 0.7754
O: 0.1680 0.4442 0.4997
O: 0.1802 0.9554 0.4988
O: 0.1938 0.4177 0.0000
O: 0.2059 0.9313 0.0000
O: 0.2876 0.2876 0.7168
O: 0.3056 0.3056 0.2246
O: 0.3186 0.8198 0.7752
O: 0.3317 0.8320 0.2761
O: 0.4177 0.1938 0.0000
O: 0.4292 0.7124 0.0000
O: 0.4442 0.1680 0.4997
O: 0.4566 0.6814 0.5012
O: 0.5434 0.0446 0.2248
O: 0.5558 0.0555 0.7239
O: 0.5708 0.5708 0.2832
O: 0.5823 0.5823 0.7761
O: 0.6683 0.9445 0.5003
O: 0.6814 0.4566 0.5012
O: 0.6944 0.9189 0.0000
O: 0.7124 0.4292 0.0000
O: 0.7941 0.7941 0.7254
O: 0.8062 0.8062 0.2239
O: 0.8198 0.3186 0.7752
O: 0.8320 0.3317 0.2761
O: 0.9189 0.6944 0.0000
O: 0.9313 0.2059 0.0000
O: 0.9445 0.6683 0.5003
O: 0.9554 0.1802 0.4988

(3)
Theoretical XRD peak list
Compound: LiTi4O6
Radiation: λ = 1.5418 Å (Cu Kα)
Structure: a structure optimized by DFT (PBE)
Neutral-atom scattering factors, no anomalous dispersion.

Top 10 peaks for 15 to 90 degrees two-theta, by angle:
two_theta	I_rel
18.74	100
34.56	30
35.55	51
36.28	32
39.23	27
45.51	30
47.47	29
48.33	54
54.49	29
62.11	38

abc: 5.2263 2.9076 7.6867
angles: 90.00 102.98 90.00
Atoms (fractional coordinates):
Li: 0.0000 0.0000 0.0000
Ti: 0.2949 0.5000 0.5710
Ti: 0.4513 0.5000 0.9265
Ti: 0.7121 0.0000 0.2571
Ti: 0.8531 0.0000 0.6110
O: 0.0734 0.0000 0.4195
O: 0.0748 0.5000 0.7721
O: 0.3661 0.0000 0.0822
O: 0.5333 0.0000 0.7449
O: 0.6235 0.5000 0.4386
O: 0.8093 0.5000 0.0900

(4)
Theoretical XRD peak list
Compound: Li3Ti4O8
Radiation: λ = 1.5418 Å (Cu Kα)
Structure: a structure optimized by DFT (PBE)
Neutral-atom scattering factors, no anomalous dispersion.

Top 10 peaks for 15 to 90 degrees two-theta, by angle:
two_theta	I_rel
25.27	90
25.55	85
36.01	100
40.60	28
51.76	40
51.93	48
52.07	44
52.28	20
52.50	23
65.32	29

abc: 4.9326 5.7713 4.9820
angles: 90.00 90.62 90.00
Atoms (fractional coordinates):
Li: 0.0000 0.0000 0.0000
Li: 0.0000 0.4866 0.0000
Li: 0.5000 0.2415 0.5000
Ti: 0.0000 0.5062 0.5000
Ti: 0.0000 0.9788 0.5000
Ti: 0.5000 0.2429 0.0000
Ti: 0.5000 0.7427 0.0000
O: 0.1714 0.7426 0.2548
O: 0.1786 0.2426 0.2693
O: 0.3177 0.4867 0.7735
O: 0.3177 0.9987 0.7734
O: 0.6823 0.4867 0.2265
O: 0.6823 0.9987 0.2266
O: 0.8214 0.2426 0.7307
O: 0.8286 0.7426 0.7452

(5)
Theoretical XRD peak list
Compound: Li4Ti11O24
Radiation: λ = 1.5418 Å (Cu Kα)
Structure: a structure optimized by DFT (PBE)
Neutral-atom scattering factors, no anomalous dispersion.

Top 10 peaks for 15 to 90 degrees two-theta, by angle:
two_theta	I_rel
18.16	100
18.35	70
35.04	17
35.23	30
35.43	9
42.55	32
43.03	63
56.73	8
61.98	27
62.28	16

abc: 10.2492 10.2492 8.4988
angles: 114.13 114.13 33.94
Atoms (fractional coordinates):
Li: 0.0837 0.0837 0.4711
Li: 0.4127 0.4127 0.7901
Li: 0.5873 0.5873 0.2099
Li: 0.9163 0.9163 0.5289
Ti: 0.0000 0.5000 0.5000
Ti: 0.1586 0.1586 0.1604
Ti: 0.1626 0.6804 0.1587
Ti: 0.3196 0.8374 0.8413
Ti: 0.3301 0.3301 0.3123
Ti: 0.5000 0.0000 0.5000
Ti: 0.5000 0.5000 0.5000
Ti: 0.6699 0.6699 0.6877
Ti: 0.6804 0.1626 0.1587
Ti: 0.8374 0.3196 0.8413
Ti: 0.8414 0.8414 0.8396
O: 0.0114 0.0114 0.7478
O: 0.0346 0.4670 0.2720
O: 0.1494 0.6689 0.9276
O: 0.1546 0.1546 0.9249
O: 0.1734 0.1734 0.4138
O: 0.1986 0.6355 0.4046
O: 0.3231 0.3231 0.5656
O: 0.3311 0.8506 0.0724
O: 0.3451 0.3451 0.1131
O: 0.3645 0.8014 0.5954
O: 0.4670 0.0346 0.2720
O: 0.4944 0.4944 0.2569
O: 0.5056 0.5056 0.7431
O: 0.5330 0.9654 0.7280
O: 0.6355 0.1986 0.4046
O: 0.6549 0.6549 0.8869
O: 0.6689 0.1494 0.9276
O: 0.6769 0.6769 0.4344
O: 0.8014 0.3645 0.5954
O: 0.8266 0.8266 0.5862
O: 0.8454 0.8454 0.0751
O: 0.8506 0.3311 0.0724
O: 0.9654 0.5330 0.7280
O: 0.9886 0.9886 0.2522